Simulated powder diffraction line list of HoTmAg2Te4 for Cu Kα (weighted mean of Kα1 and Kα2), from a cell relaxed with PBE.

Atomic structure:
Cell lengths 7.0823, 7.0823, 4.6891 Å; angles 90.00, 90.00, 90.17 degrees
Fractional positions:
Ho 0.0000 0.0000 0.0000
Tm 0.5000 0.5000 0.3912
Ag 0.0000 0.5000 0.1950
Ag 0.5000 0.0000 0.1950
Te 0.2025 0.7975 0.4862
Te 0.2999 0.2999 0.9056
Te 0.7001 0.7001 0.9056
Te 0.7975 0.2025 0.4862

Principal peaks in the range 10° ≤ 2θ ≤ 90°, sorted by position:
Position (°2θ)	I_rel
22.7	18
26.0	100
28.2	29
31.7	56
34.2	90
35.8	42
35.9	40
42.6	41
42.9	61
44.8	19
51.6	19
73.9	19